Structure and theoretical PXRD pattern of CrTe4Rh2 (a crystal structure in the Materials Project, relaxed with PBE; Cu Kα, 1.54184 Å).

Most intense lines, 15 to 90 degrees two-theta, low angle first:
2θ = 29.8°, I 100; 2θ = 30.1°, I 44; 2θ = 41.0°, I 49; 2θ = 44.1°, I 27; 2θ = 44.3°, I 53; 2θ = 54.3°, I 24

Cell and atoms:
```
data_CrTe4Rh2
_space_group_name_H-M_alt 'P 1'
_space_group_IT_number 1
_cell_length_a 13.1567
_cell_length_b 4.1028
_cell_length_c 7.0702
_cell_angle_alpha 90.00
_cell_angle_beta 121.89
_cell_angle_gamma 90.00
loop_
_space_group_symop_operation_xyz
'x,y,z'
loop_
_atom_site_label
_atom_site_type_symbol
_atom_site_fract_x
_atom_site_fract_y
_atom_site_fract_z
_atom_site_occupancy
Cr1 Cr 0.0000 0.0000 0.0000 1
Cr2 Cr 0.5000 0.5000 0.0000 1
Te1 Te 0.1295 0.0000 0.4660 1
Te2 Te 0.1322 0.5000 0.9651 1
Te3 Te 0.3678 0.0000 0.0349 1
Te4 Te 0.3705 0.5000 0.5340 1
Te5 Te 0.6295 0.5000 0.4660 1
Te6 Te 0.6322 0.0000 0.9651 1
Te7 Te 0.8678 0.5000 0.0349 1
Te8 Te 0.8705 0.0000 0.5340 1
Rh1 Rh 0.2467 0.5000 0.7373 1
Rh2 Rh 0.2533 0.0000 0.2627 1
Rh3 Rh 0.7467 0.0000 0.7373 1
Rh4 Rh 0.7533 0.5000 0.2627 1
```

***

Structure and theoretical PXRD pattern of Cr3Ru (a crystal structure in the Materials Project, relaxed with PBE; Cu Kα, 1.54184 Å).

Most intense lines, 15 to 90 degrees two-theta, low angle first:
2θ = 27.2°, I 24; 2θ = 38.9°, I 47; 2θ = 43.7°, I 62; 2θ = 48.1°, I 100; 2θ = 77.0°, I 46; 2θ = 83.5°, I 12

Cell and atoms:
```
data_Cr3Ru
_space_group_name_H-M_alt 'P 1'
_space_group_IT_number 1
_cell_length_a 4.6326
_cell_length_b 4.6326
_cell_length_c 4.6326
_cell_angle_alpha 90.00
_cell_angle_beta 90.00
_cell_angle_gamma 90.00
loop_
_space_group_symop_operation_xyz
'x,y,z'
loop_
_atom_site_label
_atom_site_type_symbol
_atom_site_fract_x
_atom_site_fract_y
_atom_site_fract_z
_atom_site_occupancy
Cr1 Cr 0.0000 0.2500 0.5000 1
Cr2 Cr 0.0000 0.7500 0.5000 1
Cr3 Cr 0.2500 0.5000 0.0000 1
Cr4 Cr 0.5000 0.0000 0.2500 1
Cr5 Cr 0.5000 0.0000 0.7500 1
Cr6 Cr 0.7500 0.5000 0.0000 1
Ru1 Ru 0.0000 0.0000 0.0000 1
Ru2 Ru 0.5000 0.5000 0.5000 1
```

***

Structure and theoretical PXRD pattern of Cr3Ru (a crystal structure in the Materials Project, relaxed with PBE; Cu Kα, 1.54184 Å).

Most intense lines, 15 to 90 degrees two-theta, low angle first:
2θ = 42.4°, I 28; 2θ = 44.0°, I 100; 2θ = 44.8°, I 23; 2θ = 63.4°, I 15; 2θ = 78.8°, I 16; 2θ = 82.1°, I 20

Cell and atoms:
```
data_Cr3Ru
_space_group_name_H-M_alt 'P 1'
_space_group_IT_number 1
_cell_length_a 2.8840
_cell_length_b 4.2602
_cell_length_c 8.0884
_cell_angle_alpha 90.00
_cell_angle_beta 90.00
_cell_angle_gamma 90.00
loop_
_space_group_symop_operation_xyz
'x,y,z'
loop_
_atom_site_label
_atom_site_type_symbol
_atom_site_fract_x
_atom_site_fract_y
_atom_site_fract_z
_atom_site_occupancy
Cr1 Cr 0.0000 0.0000 0.0000 1
Cr2 Cr 0.0000 0.5000 0.2379 1
Cr3 Cr 0.0000 0.5000 0.7621 1
Cr4 Cr 0.5000 0.0000 0.2379 1
Cr5 Cr 0.5000 0.0000 0.7621 1
Cr6 Cr 0.5000 0.5000 0.0000 1
Ru1 Ru 0.0000 0.0000 0.5000 1
Ru2 Ru 0.5000 0.5000 0.5000 1
```

***

Structure and theoretical PXRD pattern of V2CrRu (a crystal structure in the Materials Project, relaxed with PBE; Cu Kα, 1.54184 Å).

Most intense lines, 15 to 90 degrees two-theta, low angle first:
2θ = 26.0°, I 10; 2θ = 30.2°, I 7; 2θ = 43.2°, I 100; 2θ = 51.1°, I 5; 2θ = 62.7°, I 15; 2θ = 79.2°, I 30

Cell and atoms:
```
data_V2CrRu
_space_group_name_H-M_alt 'P 1'
_space_group_IT_number 1
_cell_length_a 5.9259
_cell_length_b 5.9259
_cell_length_c 5.9259
_cell_angle_alpha 90.00
_cell_angle_beta 90.00
_cell_angle_gamma 90.00
loop_
_space_group_symop_operation_xyz
'x,y,z'
loop_
_atom_site_label
_atom_site_type_symbol
_atom_site_fract_x
_atom_site_fract_y
_atom_site_fract_z
_atom_site_occupancy
V1 V 0.2500 0.2500 0.2500 1
V2 V 0.2500 0.2500 0.7500 1
V3 V 0.2500 0.7500 0.2500 1
V4 V 0.2500 0.7500 0.7500 1
V5 V 0.7500 0.2500 0.2500 1
V6 V 0.7500 0.2500 0.7500 1
V7 V 0.7500 0.7500 0.2500 1
V8 V 0.7500 0.7500 0.7500 1
Cr1 Cr 0.0000 0.0000 0.0000 1
Cr2 Cr 0.0000 0.5000 0.5000 1
Cr3 Cr 0.5000 0.0000 0.5000 1
Cr4 Cr 0.5000 0.5000 0.0000 1
Ru1 Ru 0.0000 0.0000 0.5000 1
Ru2 Ru 0.0000 0.5000 0.0000 1
Ru3 Ru 0.5000 0.0000 0.0000 1
Ru4 Ru 0.5000 0.5000 0.5000 1
```

***

Structure and theoretical PXRD pattern of CrS2 (a crystal structure in the Materials Project, relaxed with PBE; Cu Kα, 1.54184 Å).

Most intense lines, 15 to 90 degrees two-theta, low angle first:
2θ = 34.6°, I 100; 2θ = 43.5°, I 66; 2θ = 55.4°, I 28; 2θ = 55.9°, I 28; 2θ = 57.6°, I 14; 2θ = 87.5°, I 12

Cell and atoms:
```
data_CrS2
_space_group_name_H-M_alt 'P 1'
_space_group_IT_number 1
_cell_length_a 3.3178
_cell_length_b 3.3178
_cell_length_c 6.0197
_cell_angle_alpha 90.00
_cell_angle_beta 90.00
_cell_angle_gamma 120.00
loop_
_space_group_symop_operation_xyz
'x,y,z'
loop_
_atom_site_label
_atom_site_type_symbol
_atom_site_fract_x
_atom_site_fract_y
_atom_site_fract_z
_atom_site_occupancy
Cr1 Cr 0.0000 0.0000 0.0000 1
S1 S 0.3333 0.6667 0.2273 1
S2 S 0.6667 0.3333 0.7727 1
```

***

Structure and theoretical PXRD pattern of Cr19S30 (a crystal structure in the Materials Project, relaxed with PBE; Cu Kα, 1.54184 Å).

Most intense lines, 15 to 90 degrees two-theta, low angle first:
2θ = 15.9°, I 80; 2θ = 33.9°, I 100; 2θ = 34.0°, I 54; 2θ = 44.3°, I 97; 2θ = 44.4°, I 48; 2θ = 52.9°, I 49

Cell and atoms:
```
data_Cr19S30
_space_group_name_H-M_alt 'P 1'
_space_group_IT_number 1
_cell_length_a 8.8812
_cell_length_b 10.3961
_cell_length_c 10.7354
_cell_angle_alpha 80.86
_cell_angle_beta 72.46
_cell_angle_gamma 67.15
loop_
_space_group_symop_operation_xyz
'x,y,z'
loop_
_atom_site_label
_atom_site_type_symbol
_atom_site_fract_x
_atom_site_fract_y
_atom_site_fract_z
_atom_site_occupancy
Cr1 Cr 0.0000 0.0000 0.0000 1
Cr2 Cr 0.0224 0.3223 0.9863 1
Cr3 Cr 0.1058 0.1962 0.6018 1
Cr4 Cr 0.2028 0.3972 0.2015 1
Cr5 Cr 0.2041 0.0635 0.1974 1
Cr6 Cr 0.2238 0.7292 0.1891 1
Cr7 Cr 0.2932 0.6015 0.8032 1
Cr8 Cr 0.3796 0.4717 0.4145 1
Cr9 Cr 0.3962 0.8000 0.3982 1
Cr10 Cr 0.4164 0.1333 0.3845 1
Cr11 Cr 0.5836 0.8667 0.6155 1
Cr12 Cr 0.6038 0.2000 0.6018 1
Cr13 Cr 0.6204 0.5283 0.5855 1
Cr14 Cr 0.7068 0.3985 0.1968 1
Cr15 Cr 0.7762 0.2708 0.8109 1
Cr16 Cr 0.7959 0.9365 0.8026 1
Cr17 Cr 0.7972 0.6028 0.7985 1
Cr18 Cr 0.8942 0.8038 0.3982 1
Cr19 Cr 0.9776 0.6777 0.0137 1
S1 S 0.0036 0.0450 0.7732 1
S2 S 0.0048 0.3649 0.7675 1
S3 S 0.0087 0.7004 0.7796 1
S4 S 0.1817 0.7056 0.4236 1
S5 S 0.1887 0.3574 0.4318 1
S6 S 0.1982 0.0345 0.4297 1
S7 S 0.2069 0.4429 0.9730 1
S8 S 0.2067 0.7662 0.9681 1
S9 S 0.2128 0.0941 0.9744 1
S10 S 0.3901 0.1028 0.6234 1
S11 S 0.3932 0.7522 0.6284 1
S12 S 0.3972 0.4341 0.6341 1
S13 S 0.4040 0.1697 0.1682 1
S14 S 0.4129 0.8386 0.1738 1
S15 S 0.4149 0.4945 0.1797 1
S16 S 0.5851 0.5055 0.8203 1
S17 S 0.5871 0.1614 0.8262 1
S18 S 0.5960 0.8303 0.8318 1
S19 S 0.6028 0.5659 0.3659 1
S20 S 0.6068 0.2478 0.3716 1
S21 S 0.6099 0.8972 0.3766 1
S22 S 0.7872 0.9059 0.0256 1
S23 S 0.7933 0.2338 0.0319 1
S24 S 0.7931 0.5571 0.0270 1
S25 S 0.8018 0.9655 0.5703 1
S26 S 0.8113 0.6426 0.5682 1
S27 S 0.8183 0.2944 0.5764 1
S28 S 0.9913 0.2996 0.2204 1
S29 S 0.9952 0.6351 0.2325 1
S30 S 0.9964 0.9550 0.2268 1
```

***

Structure and theoretical PXRD pattern of CrS2 (a crystal structure in the Materials Project, relaxed with PBE; Cu Kα, 1.54184 Å).

Most intense lines, 15 to 90 degrees two-theta, low angle first:
2θ = 16.0°, I 55; 2θ = 31.3°, I 18; 2θ = 38.1°, I 100; 2θ = 53.7°, I 33; 2θ = 56.1°, I 28; 2θ = 67.7°, I 16

Cell and atoms:
```
data_CrS2
_space_group_name_H-M_alt 'P 1'
_space_group_IT_number 1
_cell_length_a 6.5634
_cell_length_b 6.5634
_cell_length_c 6.5634
_cell_angle_alpha 62.71
_cell_angle_beta 62.71
_cell_angle_gamma 62.71
loop_
_space_group_symop_operation_xyz
'x,y,z'
loop_
_atom_site_label
_atom_site_type_symbol
_atom_site_fract_x
_atom_site_fract_y
_atom_site_fract_z
_atom_site_occupancy
Cr1 Cr 0.0000 0.0000 0.0000 1
Cr2 Cr 0.0000 0.0000 0.5000 1
Cr3 Cr 0.0000 0.5000 0.0000 1
Cr4 Cr 0.5000 0.0000 0.0000 1
S1 S 0.2432 0.7540 0.7540 1
S2 S 0.2460 0.2460 0.7568 1
S3 S 0.2460 0.7568 0.2460 1
S4 S 0.2492 0.2492 0.2492 1
S5 S 0.7508 0.7508 0.7508 1
S6 S 0.7540 0.2432 0.7540 1
S7 S 0.7540 0.7540 0.2432 1
S8 S 0.7568 0.2460 0.2460 1
```

***

Structure and theoretical PXRD pattern of Cr5S6 (a crystal structure in the Materials Project, relaxed with PBE; Cu Kα, 1.54184 Å).

Most intense lines, 15 to 90 degrees two-theta, low angle first:
2θ = 30.1°, I 33; 2θ = 34.0°, I 52; 2θ = 43.9°, I 100; 2θ = 53.4°, I 42; 2θ = 71.5°, I 20; 2θ = 89.0°, I 18

Cell and atoms:
```
data_Cr5S6
_space_group_name_H-M_alt 'P 1'
_space_group_IT_number 1
_cell_length_a 5.9449
_cell_length_b 5.9449
_cell_length_c 11.4608
_cell_angle_alpha 90.00
_cell_angle_beta 90.00
_cell_angle_gamma 120.00
loop_
_space_group_symop_operation_xyz
'x,y,z'
loop_
_atom_site_label
_atom_site_type_symbol
_atom_site_fract_x
_atom_site_fract_y
_atom_site_fract_z
_atom_site_occupancy
Cr1 Cr 0.0000 0.0000 0.0000 1
Cr2 Cr 0.0000 0.0000 0.2500 1
Cr3 Cr 0.0000 0.0000 0.5000 1
Cr4 Cr 0.0000 0.0000 0.7500 1
Cr5 Cr 0.3333 0.6667 0.0043 1
Cr6 Cr 0.3333 0.6667 0.4957 1
Cr7 Cr 0.3333 0.6667 0.7500 1
Cr8 Cr 0.6667 0.3333 0.2500 1
Cr9 Cr 0.6667 0.3333 0.5043 1
Cr10 Cr 0.6667 0.3333 0.9957 1
S1 S 0.0072 0.3393 0.8763 1
S2 S 0.0072 0.6679 0.6237 1
S3 S 0.3321 0.3393 0.6237 1
S4 S 0.3321 0.9928 0.8763 1
S5 S 0.3393 0.0072 0.3763 1
S6 S 0.3393 0.3321 0.1237 1
S7 S 0.6607 0.6679 0.8763 1
S8 S 0.6607 0.9928 0.6237 1
S9 S 0.6679 0.0072 0.1237 1
S10 S 0.6679 0.6607 0.3763 1
S11 S 0.9928 0.3321 0.3763 1
S12 S 0.9928 0.6607 0.1237 1
```